(1)
Diffraction record for Na5NbO5. The XRD peak list is simulated, not measured: it uses the PBE geometry in OQMD and Cu Ka.

Cell and atoms:
```
data_Na5NbO5
_chemical_formula_sum 'Na20 Nb4 O20'
_symmetry_space_group_name_H-M 'C 1 2/c 1'
_symmetry_Int_Tables_number 15
_symmetry_space_group_name_Hall '-C 2yc'
_cell_length_a 6.257
_cell_length_b 10.166
_cell_length_c 9.988
_cell_angle_alpha 90.00
_cell_angle_beta 106.72
_cell_angle_gamma 90.00
loop_
_atom_site_label
_atom_site_type_symbol
_atom_site_fract_x
_atom_site_fract_y
_atom_site_fract_z
_atom_site_occupancy
Na1 Na 0.000 0.169 0.250 1
Na2 Na 0.169 0.343 0.080 1
Na3 Na 0.170 0.115 0.550 1
Nb1 Nb 0.000 0.408 0.750 1
O1 O 0.000 0.404 0.250 1
O2 O 0.133 0.328 0.616 1
O3 O 0.199 0.107 0.103 1
```

Main lines, in order of rising 2θ (2θ = 10–90°):
h k l, d (Å), 2θ (°), I_rel
1 1 0, 5.162, 17.18, 99
0 2 1, 4.489, 19.78, 100
1 1 -2, 4.044, 21.98, 90
1 1 2, 3.141, 28.41, 27
0 2 3, 2.701, 33.17, 44
2 2 -1, 2.663, 33.65, 47
0 4 0, 2.541, 35.32, 54
1 3 -3, 2.337, 38.53, 23
2 0 2, 2.263, 39.84, 71
2 0 -4, 2.204, 40.96, 52
1 5 -2, 1.846, 49.36, 42
2 4 2, 1.690, 54.28, 25

---

(2)
Diffraction record for NaNb14O36. The XRD peak list is simulated, not measured: it uses the PBE geometry in OQMD and Cu Ka.

Cell and atoms:
```
data_NaNb14O36
_chemical_formula_sum 'Na2 Nb28 O72'
_symmetry_space_group_name_H-M 'I m m m'
_symmetry_Int_Tables_number 71
_symmetry_space_group_name_Hall '-I 2 2'
_cell_length_a 3.872
_cell_length_b 14.388
_cell_length_c 26.423
_cell_angle_alpha 90.00
_cell_angle_beta 90.00
_cell_angle_gamma 90.00
loop_
_atom_site_label
_atom_site_type_symbol
_atom_site_fract_x
_atom_site_fract_y
_atom_site_fract_z
_atom_site_occupancy
Na1 Na 0.000 0.000 0.000 1
Nb1 Nb 0.000 0.000 0.188 1
Nb2 Nb 0.000 0.000 0.394 1
Nb3 Nb 0.000 0.183 0.500 1
Nb4 Nb 0.000 0.195 0.293 1
Nb5 Nb 0.000 0.381 0.398 1
O1 O 0.000 0.097 0.117 1
O2 O 0.000 0.097 0.337 1
O3 O 0.000 0.098 0.232 1
O4 O 0.000 0.099 0.444 1
O5 O 0.000 0.292 0.226 1
O6 O 0.000 0.294 0.340 1
O7 O 0.000 0.299 0.450 1
O8 O 0.000 0.302 0.000 1
O9 O 0.000 0.500 0.110 1
O10 O 0.000 0.500 0.336 1
O11 O 0.000 0.500 0.439 1
```

Main lines, in order of rising 2θ (2θ = 10–90°):
h k l, d (Å), 2θ (°), I_rel
0 2 4, 4.866, 18.23, 44
1 0 1, 3.831, 23.22, 48
0 3 5, 3.551, 25.07, 100
1 2 5, 2.864, 31.23, 47
1 3 4, 2.741, 32.67, 22
0 0 10, 2.642, 33.93, 16
0 5 9, 2.055, 44.07, 29
2 0 0, 1.936, 46.93, 21
1 5 10, 1.739, 52.63, 29
2 3 5, 1.700, 53.94, 22
1 8 5, 1.559, 59.29, 17
2 5 9, 1.409, 66.33, 15

---

(3)
Diffraction record for NaNb2PO8. The XRD peak list is simulated, not measured: it uses the PBE geometry in OQMD and Cu Ka.

Cell and atoms:
```
data_NaNb2PO8
_chemical_formula_sum 'Na4 Nb8 P4 O32'
_symmetry_space_group_name_H-M 'P 1 21 1'
_symmetry_Int_Tables_number 4
_symmetry_space_group_name_Hall 'P 2yb'
_cell_length_a 6.660
_cell_length_b 5.383
_cell_length_c 17.989
_cell_angle_alpha 90.00
_cell_angle_beta 90.30
_cell_angle_gamma 90.00
loop_
_atom_site_label
_atom_site_type_symbol
_atom_site_fract_x
_atom_site_fract_y
_atom_site_fract_z
_atom_site_occupancy
Na1 Na 0.211 0.000 0.285 1
Na2 Na 0.274 0.079 0.786 1
Nb1 Nb 0.014 0.540 0.375 1
Nb2 Nb 0.156 0.040 0.962 1
Nb3 Nb 0.342 0.045 0.460 1
Nb4 Nb 0.481 0.547 0.873 1
P1 P 0.204 0.520 0.188 1
P2 P 0.298 0.566 0.685 1
O1 O 0.023 0.518 0.135 1
O2 O 0.056 0.713 0.993 1
O3 O 0.121 0.582 0.266 1
O4 O 0.141 0.375 0.661 1
O5 O 0.148 0.245 0.390 1
O6 O 0.150 0.038 0.538 1
O7 O 0.217 0.750 0.411 1
O8 O 0.218 0.835 0.683 1
O9 O 0.288 0.329 0.912 1
O10 O 0.303 0.261 0.191 1
O11 O 0.339 0.058 0.044 1
O12 O 0.348 0.840 0.892 1
O13 O 0.350 0.505 0.768 1
O14 O 0.358 0.724 0.169 1
O15 O 0.454 0.367 0.489 1
O16 O 0.491 0.546 0.640 1
```

Main lines, in order of rising 2θ (2θ = 10–90°):
h k l, d (Å), 2θ (°), I_rel
1 0 -3, 4.468, 19.87, 40
1 0 3, 4.445, 19.98, 40
1 1 1, 4.078, 21.80, 100
1 1 -2, 3.796, 23.44, 64
1 0 -4, 3.736, 23.82, 20
1 0 4, 3.718, 23.93, 22
1 1 -3, 3.433, 25.95, 61
1 1 4, 3.064, 29.14, 19
2 1 -2, 2.701, 33.17, 40
0 2 0, 2.692, 33.29, 38
0 1 6, 2.619, 34.23, 46
3 2 1, 1.705, 53.77, 21

---

(4)
Diffraction record for NaNb4Tl3P2O17. The XRD peak list is simulated, not measured: it uses the PBE geometry in OQMD and Cu Ka.

Cell and atoms:
```
data_NaNb4Tl3P2O17
_chemical_formula_sum 'Na4 Nb16 Tl12 P8 O68'
_symmetry_space_group_name_H-M 'A m a 2'
_symmetry_Int_Tables_number 40
_symmetry_space_group_name_Hall 'A 2 -2a'
_cell_length_a 7.382
_cell_length_b 21.406
_cell_length_c 9.891
_cell_angle_alpha 90.00
_cell_angle_beta 90.00
_cell_angle_gamma 90.00
loop_
_atom_site_label
_atom_site_type_symbol
_atom_site_fract_x
_atom_site_fract_y
_atom_site_fract_z
_atom_site_occupancy
Na1 Na 0.000 0.000 0.000 1
Nb1 Nb 0.000 0.000 0.630 1
Nb2 Nb 0.001 0.153 0.436 1
Nb3 Nb 0.250 0.236 0.719 1
Tl1 Tl 0.250 0.027 0.290 1
Tl2 Tl 0.250 0.201 0.113 1
Tl3 Tl 0.250 0.358 0.302 1
P1 P 0.250 0.088 0.860 1
P2 P 0.250 0.386 0.659 1
O1 O 0.046 0.064 0.502 1
O2 O 0.057 0.271 0.829 1
O3 O 0.066 0.197 0.595 1
O4 O 0.074 0.062 0.794 1
O5 O 0.078 0.394 0.749 1
O6 O 0.250 0.074 0.011 1
O7 O 0.250 0.150 0.358 1
O8 O 0.250 0.160 0.837 1
O9 O 0.250 0.316 0.605 1
O10 O 0.250 0.354 0.994 1
O11 O 0.250 0.431 0.541 1
O12 O 0.250 0.470 0.161 1
```

Main lines, in order of rising 2θ (2θ = 10–90°):
h k l, d (Å), 2θ (°), I_rel
0 4 2, 3.632, 24.51, 36
2 1 1, 3.414, 26.10, 37
1 4 2, 3.259, 27.37, 57
1 6 0, 3.212, 27.77, 67
2 3 1, 3.112, 28.69, 100
0 3 3, 2.993, 29.85, 100
2 0 2, 2.958, 30.21, 42
2 2 2, 2.851, 31.37, 43
1 7 1, 2.717, 32.97, 35
2 5 1, 2.692, 33.29, 50
4 0 0, 1.846, 49.36, 35
4 3 3, 1.571, 58.78, 34

---

(5)
Diffraction record for NaNbSO. The XRD peak list is simulated, not measured: it uses the PBE geometry in OQMD and Cu Ka.

Cell and atoms:
```
data_NaNbSO
_chemical_formula_sum 'Na2 Nb2 S2 O2'
_symmetry_space_group_name_H-M 'P 63 m c'
_symmetry_Int_Tables_number 186
_symmetry_space_group_name_Hall 'P 6c -2c'
_cell_length_a 3.1672
_cell_length_b 3.1672
_cell_length_c 13.2970
_cell_angle_alpha 90.00
_cell_angle_beta 90.00
_cell_angle_gamma 120.00
loop_
_atom_site_label
_atom_site_type_symbol
_atom_site_fract_x
_atom_site_fract_y
_atom_site_fract_z
_atom_site_occupancy
Na1 Na 0.0000 0.0000 0.0000 1
Nb1 Nb 0.0000 0.0000 0.2803 1
S1 S 0.3333 0.6667 0.1581 1
O1 O 0.3333 0.6667 0.3783 1
```

Main lines, in order of rising 2θ (2θ = 10–90°):
h k l, d (Å), 2θ (°), I_rel
0 0 2, 6.649, 13.32, 100
0 0 4, 3.324, 26.82, 13
1 0 0, 2.743, 32.65, 47
1 0 1, 2.686, 33.35, 12
1 0 2, 2.536, 35.40, 42
1 0 4, 2.116, 42.74, 90
1 0 6, 1.724, 53.13, 22
1 1 0, 1.584, 58.26, 25
1 1 2, 1.541, 60.06, 11
1 0 8, 1.422, 65.68, 9
2 0 4, 1.268, 74.90, 16
1 1 8, 1.147, 84.50, 11

---

(6)
Diffraction record for NaNbSO. The XRD peak list is simulated, not measured: it uses the PBE geometry in OQMD and Cu Ka.

Cell and atoms:
```
data_NaNbSO
_chemical_formula_sum 'Na4 Nb4 S4 O4'
_symmetry_space_group_name_H-M 'P 1 21 1'
_symmetry_Int_Tables_number 4
_symmetry_space_group_name_Hall 'P 2yb'
_cell_length_a 5.241
_cell_length_b 5.251
_cell_length_c 9.616
_cell_angle_alpha 90.00
_cell_angle_beta 105.80
_cell_angle_gamma 90.00
loop_
_atom_site_label
_atom_site_type_symbol
_atom_site_fract_x
_atom_site_fract_y
_atom_site_fract_z
_atom_site_occupancy
Na1 Na 0.052 0.000 0.101 1
Na2 Na 0.434 0.999 0.868 1
Nb1 Nb 0.008 0.807 0.406 1
Nb2 Nb 0.398 0.193 0.406 1
S1 S 0.100 0.500 0.201 1
S2 S 0.399 0.499 0.799 1
O1 O 0.249 0.500 0.499 1
O2 O 0.289 0.000 0.579 1
```

Main lines, in order of rising 2θ (2θ = 10–90°):
h k l, d (Å), 2θ (°), I_rel
1 1 -1, 3.637, 24.47, 19
1 1 -2, 3.179, 28.07, 100
1 1 2, 2.620, 34.22, 96
2 0 -2, 2.524, 35.58, 63
2 1 -1, 2.345, 38.39, 15
1 2 -1, 2.329, 38.66, 30
2 1 -2, 2.273, 39.65, 23
1 2 1, 2.194, 41.14, 17
1 1 3, 2.153, 41.97, 65
2 0 -4, 1.998, 45.39, 22
2 2 -1, 1.855, 49.12, 36
1 1 -7, 1.329, 70.90, 18

---

(7)
Diffraction record for NaNbSeO. The XRD peak list is simulated, not measured: it uses the PBE geometry in OQMD and Cu Ka.

Cell and atoms:
```
data_NaNbSeO
_chemical_formula_sum 'Na4 Nb4 Se4 O4'
_symmetry_space_group_name_H-M 'P 1 21/c 1'
_symmetry_Int_Tables_number 14
_symmetry_space_group_name_Hall '-P 2ybc'
_cell_length_a 7.406
_cell_length_b 6.277
_cell_length_c 5.784
_cell_angle_alpha 90.00
_cell_angle_beta 104.40
_cell_angle_gamma 90.00
loop_
_atom_site_label
_atom_site_type_symbol
_atom_site_fract_x
_atom_site_fract_y
_atom_site_fract_z
_atom_site_occupancy
Na1 Na 0.106 0.250 0.033 1
Nb1 Nb 0.487 0.620 0.233 1
Se1 Se 0.229 0.615 0.831 1
O1 O 0.355 0.131 0.882 1
```

Main lines, in order of rising 2θ (2θ = 10–90°):
h k l, d (Å), 2θ (°), I_rel
1 0 0, 7.173, 12.34, 100
1 1 0, 4.724, 18.79, 13
1 1 -1, 3.944, 22.55, 12
0 0 2, 2.801, 31.95, 21
1 2 -1, 2.668, 33.59, 63
1 0 2, 2.414, 37.25, 35
3 0 0, 2.391, 37.62, 15
2 2 -1, 2.316, 38.88, 55
1 1 2, 2.253, 40.02, 12
3 0 -2, 2.094, 43.21, 22
2 2 1, 2.059, 43.98, 36
1 2 -3, 1.643, 55.98, 23

---

(8)
Diffraction record for NaNb2PS10. The XRD peak list is simulated, not measured: it uses the PBE geometry in OQMD and Cu Ka.

Cell and atoms:
```
data_NaNb2PS10
_chemical_formula_sum 'Na8 Nb16 P8 S80'
_symmetry_space_group_name_H-M 'C 1 2/c 1'
_symmetry_Int_Tables_number 15
_symmetry_space_group_name_Hall '-C 2yc'
_cell_length_a 25.258
_cell_length_b 8.000
_cell_length_c 12.986
_cell_angle_alpha 90.00
_cell_angle_beta 90.71
_cell_angle_gamma 90.00
loop_
_atom_site_label
_atom_site_type_symbol
_atom_site_fract_x
_atom_site_fract_y
_atom_site_fract_z
_atom_site_occupancy
Na1 Na 0.057 0.003 0.119 1
Nb1 Nb 0.141 0.434 0.223 1
Nb2 Nb 0.141 0.440 0.513 1
P1 P 0.104 0.110 0.371 1
S1 S 0.052 0.082 0.872 1
S2 S 0.068 0.389 0.649 1
S3 S 0.069 0.380 0.081 1
S4 S 0.071 0.350 0.367 1
S5 S 0.148 0.110 0.240 1
S6 S 0.149 0.116 0.503 1
S7 S 0.158 0.353 0.867 1
S8 S 0.210 0.449 0.370 1
S9 S 0.211 0.374 0.095 1
S10 S 0.212 0.385 0.644 1
```

Main lines, in order of rising 2θ (2θ = 10–90°):
h k l, d (Å), 2θ (°), I_rel
1 1 0, 7.626, 11.60, 61
1 1 -1, 6.587, 13.44, 22
4 0 0, 6.314, 14.03, 99
3 1 0, 5.799, 15.28, 100
0 2 0, 4.000, 22.23, 28
4 0 4, 2.872, 31.14, 14
7 1 3, 2.601, 34.48, 22
6 0 -4, 2.586, 34.69, 15
6 2 -3, 2.418, 37.18, 17
7 1 -4, 2.323, 38.77, 15
8 0 4, 2.249, 40.09, 14
8 2 3, 2.143, 42.17, 16

---

Repeat the first record exactly.
Diffraction record for Na5NbO5. The XRD peak list is simulated, not measured: it uses the PBE geometry in OQMD and Cu Ka.

Cell and atoms:
```
data_Na5NbO5
_chemical_formula_sum 'Na20 Nb4 O20'
_symmetry_space_group_name_H-M 'C 1 2/c 1'
_symmetry_Int_Tables_number 15
_symmetry_space_group_name_Hall '-C 2yc'
_cell_length_a 6.257
_cell_length_b 10.166
_cell_length_c 9.988
_cell_angle_alpha 90.00
_cell_angle_beta 106.72
_cell_angle_gamma 90.00
loop_
_atom_site_label
_atom_site_type_symbol
_atom_site_fract_x
_atom_site_fract_y
_atom_site_fract_z
_atom_site_occupancy
Na1 Na 0.000 0.169 0.250 1
Na2 Na 0.169 0.343 0.080 1
Na3 Na 0.170 0.115 0.550 1
Nb1 Nb 0.000 0.408 0.750 1
O1 O 0.000 0.404 0.250 1
O2 O 0.133 0.328 0.616 1
O3 O 0.199 0.107 0.103 1
```

Main lines, in order of rising 2θ (2θ = 10–90°):
h k l, d (Å), 2θ (°), I_rel
1 1 0, 5.162, 17.18, 99
0 2 1, 4.489, 19.78, 100
1 1 -2, 4.044, 21.98, 90
1 1 2, 3.141, 28.41, 27
0 2 3, 2.701, 33.17, 44
2 2 -1, 2.663, 33.65, 47
0 4 0, 2.541, 35.32, 54
1 3 -3, 2.337, 38.53, 23
2 0 2, 2.263, 39.84, 71
2 0 -4, 2.204, 40.96, 52
1 5 -2, 1.846, 49.36, 42
2 4 2, 1.690, 54.28, 25